ScFeSi2: simulated powder X-ray diffraction pattern (Cu Kα (weighted mean of Kα1 and Kα2)), based on a DFT-relaxed cell (PBE, OQMD).
Kinematic intensities with the Lorentz-polarization factor, no thermal factor.

Principal peaks in the range 2θ = 10–80°, by intensity:
hkl, d/Å, I (rel.)
4 1 0, 2.174, 100
3 1 2, 2.295, 61
0 4 2, 2.064, 51
3 3 0, 2.193, 38
0 0 4, 1.943, 30
1 4 0, 2.349, 28
0 0 2, 3.886, 24
2 4 2, 1.873, 16
6 2 2, 1.335, 15
4 5 2, 1.372, 12
2 1 4, 1.752, 11
2 0 0, 4.459, 11

Structure:
```
48
Lattice="8.9174 0.0000 0.0000 0.0000 9.7413 0.0000 0.0000 0.0000 7.7721" Properties=species:S:1:pos:R:3 pbc="T T T"
Sc 1.5067 1.7339 0.0000
Sc 1.5665 4.3983 1.9219
Sc 1.5665 4.3983 5.8501
Sc 2.8922 9.2689 1.9219
Sc 2.8922 9.2689 5.8501
Sc 2.9520 6.6046 0.0000
Sc 5.9654 3.1367 0.0000
Sc 6.0252 0.4724 1.9219
Sc 6.0252 0.4724 5.8501
Sc 7.3510 5.3430 1.9219
Sc 7.3510 5.3430 5.8501
Sc 7.4107 8.0074 0.0000
Fe 0.0000 0.0000 1.9118
Fe 0.0000 0.0000 5.8602
Fe 0.7664 7.2049 1.9315
Fe 0.7664 7.2049 5.8405
Fe 3.6923 2.3343 1.9315
Fe 3.6923 2.3343 5.8405
Fe 4.4587 4.8706 1.9118
Fe 4.4587 4.8706 5.8602
Fe 5.2251 7.4070 1.9315
Fe 5.2251 7.4070 5.8405
Fe 8.1510 2.5364 1.9315
Fe 8.1510 2.5364 5.8405
Si 0.3269 6.0496 0.0000
Si 0.3696 6.0999 3.8860
Si 0.9352 8.7375 3.8860
Si 1.0864 8.7052 0.0000
Si 1.4265 1.7464 2.6951
Si 1.4265 1.7464 5.0769
Si 3.0322 6.6171 2.6951
Si 3.0322 6.6171 5.0769
Si 3.3723 3.8346 0.0000
Si 3.5235 3.8668 3.8860
Si 4.0891 1.2293 3.8860
Si 4.1318 1.1789 0.0000
Si 4.7857 8.5624 0.0000
Si 4.8283 8.5120 3.8860
Si 5.3939 5.8745 3.8860
Si 5.5451 5.9067 0.0000
Si 5.8852 3.1242 2.6951
Si 5.8852 3.1242 5.0769
Si 7.4909 7.9949 2.6951
Si 7.4909 7.9949 5.0769
Si 7.8310 1.0361 0.0000
Si 7.9823 1.0038 3.8860
Si 8.5478 3.6414 3.8860
Si 8.5905 3.6917 0.0000
```